No. 1
Starting from the PBE geometry in Alexandria, the powder diffraction line list of PaIn3Cl8 was calculated for λ = 1.5418 Å (Cu Kα).

```
12
Lattice="7.129 0.000 0.000 0.000 7.129 0.000 0.000 0.000 7.129" Properties=species:S:1:pos:R:3 pbc="T T T"
Pa 0.000 0.000 0.000
In 0.000 3.565 3.565
In 3.565 0.000 3.565
In 3.565 3.565 0.000
Cl 1.585 1.585 1.585
Cl 1.585 1.585 5.544
Cl 1.585 5.544 1.585
Cl 1.585 5.544 5.544
Cl 5.544 1.585 1.585
Cl 5.544 1.585 5.544
Cl 5.544 5.544 1.585
Cl 5.544 5.544 5.544
```

Peak list (12 most intense, 5 to 70 degrees two-theta, low angle first)
2θ (°)	d/Å	I_rel
12.4	7.129	19.8
17.6	5.041	9.4
21.6	4.116	100.0
25.0	3.565	13.4
35.6	2.520	86.4
42.0	2.149	52.2
45.9	1.977	7.0
51.3	1.782	13.4
56.2	1.636	23.1
57.8	1.594	9.4
64.0	1.455	25.4
68.4	1.372	16.2

No. 2
Starting from the PBE geometry in Alexandria, the powder diffraction line list of In3Pb2Cl7 was calculated for λ = 1.5418 Å (Cu Kα).

```
24
Lattice="13.572 -3.712 0.000 13.572 3.712 0.000 0.000 0.000 8.149" Properties=species:S:1:pos:R:3 pbc="T T T"
In 8.364 1.877 5.342
In 13.572 2.002 4.075
In 18.779 1.877 5.342
In 8.364 -1.877 1.267
In 13.572 -2.002 0.000
In 18.779 -1.877 1.267
Pb 10.814 1.842 0.577
Pb 16.329 1.842 0.577
Pb 10.814 -1.842 4.652
Pb 16.329 -1.842 4.652
Cl 2.139 0.559 2.082
Cl 5.460 0.995 4.325
Cl 2.139 -0.559 6.156
Cl 10.157 0.531 3.071
Cl 5.460 -0.995 0.250
Cl 13.572 0.846 0.986
Cl 10.157 -0.531 7.146
Cl 16.987 0.531 3.071
Cl 13.572 -0.846 5.060
Cl 21.683 0.995 4.325
Cl 16.987 -0.531 7.146
Cl 25.004 0.559 2.082
Cl 21.683 -0.995 0.250
Cl 25.004 -0.559 6.156
```

Peak list (12 most intense, 5 to 70 degrees two-theta, low angle first)
2θ (°)	d/Å	I_rel
16.5	5.379	15.9
21.8	4.075	26.5
23.0	3.859	100.0
24.0	3.712	26.9
32.6	2.744	24.9
33.0	2.714	19.7
35.3	2.542	21.8
36.6	2.455	15.2
39.9	2.259	14.5
41.2	2.191	15.3
41.6	2.170	37.5
47.1	1.930	14.3